The following is a calculated powder diffractogram of Na2V3Se6O6. It was derived from a cell relaxed with GGA+U, using a wavelength of 1.5418 Å.
Lines closer than 0.1° are merged.

Crystal structure
```
data_Na2V3Se6O6
_symmetry_space_group_name_H-M 'C 1 2/m 1'
_symmetry_Int_Tables_number 12
_cell_length_a 6.0506
_cell_length_b 10.6332
_cell_length_c 11.2851
_cell_angle_alpha 90.00
_cell_angle_beta 98.48
_cell_angle_gamma 90.00
loop_
_symmetry_equiv_pos_as_xyz
'x,y,z'
'-x,-y,-z'
'-x,y,-z'
'x,-y,z'
'x+1/2,y+1/2,z'
'-x+1/2,-y+1/2,-z'
'-x+1/2,y+1/2,-z'
'x+1/2,-y+1/2,z'
loop_
_atom_site_label
_atom_site_fract_x
_atom_site_fract_y
_atom_site_fract_z
Na1 0.0000 0.2493 0.0000
V1 0.0000 0.0000 0.5000
V2 0.0000 0.3343 0.5000
Se1 0.1322 0.1670 0.3610
Se2 0.1326 0.5000 0.3609
O1 0.2284 0.1073 0.9199
O2 0.2493 0.0000 0.9874
```

Peak list (10 most intense, 10 to 90 degrees two-theta, sorted by position)
hkl, 2θ/deg, Rel. int.
0 0 2, 15.88, 35
0 0 3, 23.92, 41
1 3 1, 30.97, 33
2 0 1, 32.09, 52
1 3 -2, 32.38, 100
2 0 2, 36.09, 46
1 3 -3, 36.67, 74
1 3 4, 45.69, 36
3 3 -1, 52.23, 48
1 3 5, 52.62, 47